1.
# Ca2Re3
Computed X-ray powder pattern, CuKα. Input: a GGA-PBE-relaxed structure.

Structural model:
```
Ca2Re3
1.0
2.921 0.000 0.000
-1.460 2.529 0.000
0.000 0.000 37.417
Ca Re
6 9
Direct
0.000 0.000 0.098
0.000 0.000 0.902
0.333 0.667 0.569
0.333 0.667 0.764
0.667 0.333 0.236
0.667 0.333 0.431
0.000 0.000 0.307
0.000 0.000 0.500
0.000 0.000 0.693
0.333 0.667 0.167
0.333 0.667 0.360
0.333 0.667 0.973
0.667 0.333 0.027
0.667 0.333 0.640
0.667 0.333 0.833
```

Largest 10 diffraction maxima, in order of rising 2θ, 2θ = 15–90°:
| 2θ/deg | I (rel.) |
| --- | --- |
| 35.57 | 17.3 |
| 36.00 | 30.4 |
| 37.53 | 100.0 |
| 43.17 | 62.5 |
| 44.64 | 21.1 |
| 53.35 | 16.1 |
| 61.67 | 15.7 |
| 63.73 | 21.7 |
| 75.43 | 21.0 |
| 76.37 | 14.1 |

---

2.
# LiBIrCl2
Computed X-ray powder pattern, CuKα. Input: a GGA-PBE-relaxed structure.

Structural model:
```
LiBIrCl2
1.0
4.313 0.000 0.000
0.000 4.313 0.000
0.000 0.000 4.840
Li B Ir Cl
1 1 1 2
Direct
0.000 0.000 0.000
0.500 0.500 0.500
0.000 0.000 0.500
0.000 0.500 0.000
0.500 0.000 0.000
```

Largest 10 diffraction maxima, in order of rising 2θ, 2θ = 15–90°:
| 2θ/deg | I (rel.) |
| --- | --- |
| 18.33 | 22.8 |
| 20.60 | 90.5 |
| 27.71 | 79.1 |
| 34.77 | 100.0 |
| 37.15 | 22.4 |
| 41.90 | 31.6 |
| 42.85 | 28.4 |
| 50.97 | 31.1 |
| 57.22 | 24.5 |
| 71.93 | 22.8 |

---

3.
# Tm2NpIn9
Computed X-ray powder pattern, CuKα. Input: a GGA-PBE-relaxed structure.

Structural model:
```
Tm2NpIn9
1.0
4.616 0.000 0.000
0.000 4.616 0.000
0.000 0.000 13.884
Tm Np In
2 1 9
Direct
0.000 0.000 0.165
0.000 0.000 0.835
0.000 0.000 0.500
0.000 0.500 0.000
0.000 0.500 0.332
0.000 0.500 0.668
0.500 0.000 0.000
0.500 0.000 0.332
0.500 0.000 0.668
0.500 0.500 0.167
0.500 0.500 0.500
0.500 0.500 0.833
```

Largest 10 diffraction maxima, in order of rising 2θ, 2θ = 15–90°:
| 2θ/deg | I (rel.) |
| --- | --- |
| 19.21 | 5.0 |
| 27.30 | 4.4 |
| 33.60 | 100.0 |
| 38.92 | 16.7 |
| 39.03 | 33.2 |
| 56.33 | 33.5 |
| 67.11 | 13.1 |
| 67.26 | 26.0 |
| 70.63 | 11.3 |
| 83.84 | 3.6 |

---

4.
# Rb3SrTe
Computed X-ray powder pattern, CuKα. Input: a GGA-PBE-relaxed structure.

Structural model:
```
Rb3SrTe
1.0
7.109 0.000 0.000
0.000 7.109 0.000
0.000 0.000 7.109
Rb Sr Te
3 1 1
Direct
0.000 0.000 0.500
0.000 0.500 0.000
0.500 0.000 0.000
0.500 0.500 0.500
0.000 0.000 0.000
```

Largest 10 diffraction maxima, in order of rising 2θ, 2θ = 15–90°:
| 2θ/deg | I (rel.) |
| --- | --- |
| 17.64 | 32.5 |
| 21.65 | 43.2 |
| 25.05 | 100.0 |
| 28.07 | 20.0 |
| 35.73 | 78.4 |
| 42.16 | 21.9 |
| 44.13 | 28.5 |
| 58.03 | 37.6 |
| 64.19 | 27.7 |
| 81.19 | 18.0 |

---

5.
# Cs2NbCuTe4
Computed X-ray powder pattern, CuKα. Input: a GGA-PBE-relaxed structure.

Structural model:
```
Cs2NbCuTe4
1.0
0.000 7.938 13.701
3.063 0.000 13.701
3.063 7.938 0.000
Cs Nb Cu Te
4 2 2 8
Direct
0.056 0.056 0.694
0.306 0.306 0.944
0.694 0.694 0.056
0.944 0.944 0.306
0.375 0.375 0.375
0.625 0.625 0.625
0.125 0.125 0.125
0.875 0.875 0.875
0.027 0.334 0.415
0.276 0.585 0.666
0.334 0.027 0.724
0.415 0.724 0.027
0.585 0.276 0.973
0.666 0.973 0.276
0.724 0.415 0.334
0.973 0.666 0.585
```

Largest 10 diffraction maxima, in order of rising 2θ, 2θ = 15–90°:
| 2θ/deg | I (rel.) |
| --- | --- |
| 22.45 | 40.4 |
| 24.27 | 100.0 |
| 26.01 | 26.4 |
| 27.59 | 68.2 |
| 29.89 | 17.7 |
| 35.28 | 31.4 |
| 39.35 | 21.2 |
| 44.35 | 21.4 |
| 45.29 | 28.8 |
| 48.83 | 27.9 |

---

6.
# La3MgIn12
Computed X-ray powder pattern, CuKα. Input: a GGA-PBE-relaxed structure.

Structural model:
```
La3MgIn12
1.0
4.767 0.000 0.000
0.000 4.767 0.000
0.000 0.000 18.825
La Mg In
3 1 12
Direct
0.000 0.000 0.000
0.000 0.000 0.257
0.000 0.000 0.743
0.000 0.000 0.500
0.000 0.500 0.129
0.000 0.500 0.386
0.000 0.500 0.614
0.000 0.500 0.871
0.500 0.000 0.129
0.500 0.000 0.386
0.500 0.000 0.614
0.500 0.000 0.871
0.500 0.500 0.000
0.500 0.500 0.248
0.500 0.500 0.500
0.500 0.500 0.752
```

Largest 10 diffraction maxima, in order of rising 2θ, 2θ = 15–90°:
| 2θ/deg | I (rel.) |
| --- | --- |
| 32.68 | 100.0 |
| 37.74 | 34.6 |
| 38.25 | 15.0 |
| 54.44 | 11.7 |
| 54.82 | 20.5 |
| 64.95 | 26.3 |
| 65.64 | 10.3 |
| 68.47 | 10.3 |
| 80.60 | 3.6 |
| 89.71 | 5.6 |